This entry pairs a crystal structure of Fe3RuI9 with its simulated powder diffractogram. Radiation: Cu Ka. Structure: a structure optimized by DFT (GGA-PBE).

```
data_Fe3RuI9
_chemical_formula_sum 'Fe12 Ru4 I36'
_cell_length_a 18.9315
_cell_length_b 9.9181
_cell_length_c 13.8025
_cell_angle_alpha 90.00
_cell_angle_beta 128.01
_cell_angle_gamma 90.00
_symmetry_space_group_name_H-M 'C 1 c 1'
_symmetry_Int_Tables_number 9
_symmetry_space_group_name_Hall 'C -2yc'
loop_
_atom_site_label
_atom_site_type_symbol
_atom_site_fract_x
_atom_site_fract_y
_atom_site_fract_z
Fe1 Fe 0.0000 0.0443 0.0000
Fe2 Fe 0.1407 0.4273 0.9542
Fe3 Fe 0.3918 0.1135 0.5902
Ru1 Ru 0.2657 0.2217 0.7754
I1 I 0.0229 0.2328 0.8856
I2 I 0.0621 0.3846 0.2823
I3 I 0.1243 0.0598 0.7120
I4 I 0.1638 0.4398 0.6351
I5 I 0.2572 0.0971 0.5931
I6 I 0.2710 0.3091 0.9713
I7 I 0.3723 0.3564 0.5006
I8 I 0.3851 0.0321 0.9306
I9 I 0.4112 0.3619 0.8327
```

Most intense lines, 2θ from 15° to 90°, in order of falling intensity:
2θ 15.5, intensity 100, (1 1 1); 2θ 25.5, intensity 75, (2 0 2); 2θ 25.3, intensity 65, (5 1 -2); 2θ 26.6, intensity 59, (2 2 -3); 2θ 27.5, intensity 57, (3 1 -4); 2θ 26.8, intensity 37, (4 2 -1); 2θ 30.0, intensity 35, (4 2 0); 2θ 39.8, intensity 32, (1 3 3); 2θ 25.9, intensity 32, (5 1 -3); 2θ 38.8, intensity 30, (7 1 -1)

This entry pairs a crystal structure of FeSbI with its simulated powder diffractogram. Radiation: Cu Ka. Structure: a structure optimized by DFT (GGA-PBE).

```
data_FeSbI
_chemical_formula_sum 'Fe2 Sb2 I2'
_cell_length_a 3.7788
_cell_length_b 3.8232
_cell_length_c 12.8001
_cell_angle_alpha 89.91
_cell_angle_beta 89.81
_cell_angle_gamma 61.93
_symmetry_space_group_name_H-M 'P -1'
_symmetry_Int_Tables_number 2
_symmetry_space_group_name_Hall '-P 1'
loop_
_atom_site_label
_atom_site_type_symbol
_atom_site_fract_x
_atom_site_fract_y
_atom_site_fract_z
Fe1 Fe 0.1687 0.1645 0.2229
Sb1 Sb 0.4928 0.4893 0.8853
I1 I 0.1698 0.1767 0.6559
```

Most intense lines, 2θ from 15° to 90°, in order of falling intensity:
2θ 27.3, intensity 100, (0 1 -1); 2θ 27.7, intensity 98, (1 0 -1); 2θ 30.8, intensity 95, (1 1 -2); 2θ 28.2, intensity 93, (1 1 1); 2θ 29.9, intensity 84, (0 1 2); 2θ 30.2, intensity 83, (1 0 2); 2θ 27.9, intensity 76, (0 0 4); 2θ 46.4, intensity 67, (1 -1 0); 2θ 47.6, intensity 61, (1 2 0); 2θ 48.2, intensity 60, (2 1 0)

This entry pairs a crystal structure of ScFe3I with its simulated powder diffractogram. Radiation: Cu Ka. Structure: a structure optimized by DFT (GGA-PBE).

```
data_ScFe3I
_chemical_formula_sum 'Sc1 Fe3 I1'
_cell_length_a 4.6097
_cell_length_b 4.6097
_cell_length_c 4.6097
_cell_angle_alpha 90.00
_cell_angle_beta 90.00
_cell_angle_gamma 90.00
_symmetry_space_group_name_H-M 'P m -3 m'
_symmetry_Int_Tables_number 221
_symmetry_space_group_name_Hall '-P 4 2 3'
loop_
_atom_site_label
_atom_site_type_symbol
_atom_site_fract_x
_atom_site_fract_y
_atom_site_fract_z
Sc1 Sc 0.0000 0.0000 0.0000
Fe1 Fe 0.0000 0.5000 0.5000
I1 I 0.5000 0.5000 0.5000
```

Most intense lines, 2θ from 15° to 90°, in order of falling intensity:
2θ 19.3, intensity 100, (1 0 0); 2θ 39.1, intensity 100, (2 0 0); 2θ 56.5, intensity 64, (2 2 0); 2θ 27.4, intensity 54, (1 1 0); 2θ 43.9, intensity 47, (2 1 0); 2θ 60.2, intensity 22, (3 0 0); 2θ 48.4, intensity 22, (2 1 1); 2θ 70.8, intensity 21, (2 2 2); 2θ 33.7, intensity 16, (1 1 1); 2θ 87.2, intensity 13, (4 1 0)

This entry pairs a crystal structure of FeSeI with its simulated powder diffractogram. Radiation: Cu Ka. Structure: a structure optimized by DFT (GGA-PBE).

```
data_FeSeI
_chemical_formula_sum 'Fe4 Se4 I4'
_cell_length_a 8.9347
_cell_length_b 6.2625
_cell_length_c 7.6820
_cell_angle_alpha 90.00
_cell_angle_beta 115.11
_cell_angle_gamma 90.00
_symmetry_space_group_name_H-M 'P 1 21/c 1'
_symmetry_Int_Tables_number 14
_symmetry_space_group_name_Hall '-P 2ybc'
loop_
_atom_site_label
_atom_site_type_symbol
_atom_site_fract_x
_atom_site_fract_y
_atom_site_fract_z
Fe1 Fe 0.0714 0.1504 0.1292
Se1 Se 0.0646 0.7018 0.6975
I1 I 0.3354 0.1572 0.7414
```

Most intense lines, 2θ from 15° to 90°, in order of falling intensity:
2θ 24.7, intensity 100, (2 1 -1); 2θ 25.6, intensity 87, (0 0 2); 2θ 17.9, intensity 74, (1 1 0); 2θ 29.5, intensity 66, (2 1 -2); 2θ 48.2, intensity 54, (2 3 -1); 2θ 26.2, intensity 54, (2 1 0); 2θ 33.2, intensity 47, (3 0 0); 2θ 31.3, intensity 46, (0 2 1); 2θ 49.7, intensity 35, (2 1 -4); 2θ 28.5, intensity 33, (0 2 0)